[1]
Diffraction record for AcPaSeN2. The powder XRD pattern is calculated, not measured: it uses a cell relaxed with PBE and copper Kα.
Peak positions follow from Bragg's law for the DFT cell and can differ from measured ones.

Largest 10 diffraction maxima, by angle, 2θ = 5–70°:
| 2theta | d/Å | I/Imax | index |
| --- | --- | --- | --- |
| 13.71 | 6.457 | 8 | 0 0 2 |
| 23.29 | 3.820 | 21 | 1 0 1 |
| 30.51 | 2.930 | 100 | 1 0 3 |
| 31.65 | 2.827 | 43 | 1 1 0 |
| 41.97 | 2.152 | 9 | 0 0 6 |
| 42.50 | 2.127 | 11 | 1 1 4 |
| 45.36 | 1.999 | 20 | 2 0 0 |
| 53.51 | 1.713 | 20 | 1 1 6 |
| 55.66 | 1.651 | 38 | 2 1 3 |
| 63.51 | 1.465 | 11 | 2 0 6 |

Cell and atoms:
```
data_AcPaSeN2
_chemical_formula_sum 'Ac2 Pa2 Se2 N4'
_cell_length_a 3.998
_cell_length_b 3.998
_cell_length_c 12.915
_cell_angle_alpha 90.00
_cell_angle_beta 90.00
_cell_angle_gamma 90.00
_symmetry_space_group_name_H-M 'I 4 m m'
_symmetry_Int_Tables_number 107
_symmetry_space_group_name_Hall 'I 4 -2'
loop_
_atom_site_label
_atom_site_fract_x
_atom_site_fract_y
_atom_site_fract_z
_atom_site_occupancy
Ac1 0.000 0.000 0.000 1
Pa1 0.000 0.000 0.310 1
Se1 0.000 0.000 0.654 1
N1 0.000 0.500 0.382 1
```

***

[2]
Diffraction record for AcTmIn2Hg2. The powder XRD pattern is calculated, not measured: it uses a cell relaxed with PBE and copper Kα.
Peak positions follow from Bragg's law for the DFT cell and can differ from measured ones.

Largest 10 diffraction maxima, by angle, 2θ = 5–70°:
| 2theta | d/Å | I/Imax | index |
| --- | --- | --- | --- |
| 23.69 | 3.755 | 14 | 1 0 1 |
| 30.94 | 2.891 | 100 | 0 1 2 |
| 34.30 | 2.615 | 6 | 0 0 3 |
| 36.38 | 2.469 | 74 | 1 1 0 |
| 48.49 | 1.877 | 29 | 2 0 2 |
| 50.86 | 1.795 | 13 | 1 1 3 |
| 51.25 | 1.783 | 9 | 1 0 4 |
| 60.27 | 1.536 | 11 | 1 1 4 |
| 62.11 | 1.495 | 28 | 1 2 2 |
| 65.47 | 1.426 | 13 | 3 0 0 |

Cell and atoms:
```
data_AcTmIn2Hg2
_chemical_formula_sum 'Ac1 Tm1 In2 Hg2'
_cell_length_a 4.9385
_cell_length_b 4.9385
_cell_length_c 7.8440
_cell_angle_alpha 90.00
_cell_angle_beta 90.00
_cell_angle_gamma 120.00
_symmetry_space_group_name_H-M 'P -3 m 1'
_symmetry_Int_Tables_number 164
_symmetry_space_group_name_Hall '-P 3 2"'
loop_
_atom_site_label
_atom_site_fract_x
_atom_site_fract_y
_atom_site_fract_z
_atom_site_occupancy
Ac1 0.0000 0.0000 0.0000 1
Tm1 0.0000 0.0000 0.5000 1
In1 0.3333 0.6667 0.2623 1
Hg1 0.3333 0.6667 0.6857 1
```